(1)
Computed PXRD pattern
Compound: TbPrMgIr
Radiation: copper Kα
Structure: a crystal structure in Alexandria, relaxed with PBE

Peak list (6 most intense, 2θ = 10–90°, in order of rising 2θ)
2θ (°)  I_rel
21.16  23
34.90  100
41.17  13
50.18  18
62.58  37
84.21  16

Crystal structure
```
TbPrMgIr
1.0
0.0000 3.6360 3.6360
3.6360 0.0000 3.6360
3.6360 3.6360 0.0000
Tb Pr Mg Ir
1 1 1 1
direct
0.0000 0.0000 0.0000 Tb
0.5000 0.5000 0.5000 Pr
0.2500 0.2500 0.2500 Mg
0.7500 0.7500 0.7500 Ir
```

(2)
Computed PXRD pattern
Compound: Mg4IrPt
Radiation: copper Kα
Structure: a crystal structure in Alexandria, relaxed with PBE

Peak list (6 most intense, 2θ = 10–90°, in order of rising 2θ)
2θ (°)  I_rel
22.11  100
23.93  31
31.84  59
41.02  38
42.86  64
50.11  34

Crystal structure
```
Mg4IrPt
1.0
3.0354 0.0000 0.0000
0.0000 4.7783 0.0000
0.0000 0.0000 7.4370
Mg Ir Pt
4 1 1
direct
0.0000 0.0000 0.1898 Mg
0.0000 0.0000 0.8102 Mg
0.5000 0.5000 0.3020 Mg
0.5000 0.5000 0.6980 Mg
0.0000 0.5000 0.0000 Ir
0.5000 0.0000 0.5000 Pt
```

(3)
Computed PXRD pattern
Compound: Pu4MgIr3
Radiation: copper Kα
Structure: a crystal structure in Alexandria, relaxed with PBE

Peak list (6 most intense, 2θ = 10–90°, in order of rising 2θ)
2θ (°)  I_rel
31.73  39
33.72  71
35.88  31
37.00  46
37.68  100
69.68  28

Crystal structure
```
Pu4MgIr3
1.0
-5.4326 5.4326 2.8201
5.4326 -5.4326 2.8201
5.4326 5.4326 -2.8201
Pu Mg Ir
8 2 6
direct
0.0829 0.7759 0.8587 Pu
0.2241 0.0829 0.3070 Pu
0.2759 0.5829 0.8587 Pu
0.4171 0.2759 0.6930 Pu
0.5829 0.7241 0.3070 Pu
0.7241 0.4171 0.1413 Pu
0.7759 0.9171 0.6930 Pu
0.9171 0.2241 0.1413 Pu
0.2500 0.7500 0.5000 Mg
0.7500 0.2500 0.5000 Mg
0.1577 0.3423 0.5000 Ir
0.2500 0.2500 0.0000 Ir
0.3423 0.8423 0.1846 Ir
0.6577 0.1577 0.8154 Ir
0.7500 0.7500 0.0000 Ir
0.8423 0.6577 0.5000 Ir
```

(4)
Computed PXRD pattern
Compound: Pu3MgIr3
Radiation: copper Kα
Structure: a crystal structure in Alexandria, relaxed with PBE

Peak list (6 most intense, 2θ = 10–90°, in order of rising 2θ)
2θ (°)  I_rel
30.84  55
33.28  58
34.75  44
37.80  100
38.22  30
46.59  40

Crystal structure
```
Pu3MgIr3
1.0
4.2103 -5.1632 0.0000
4.2103 5.1632 0.0000
-0.0276 0.0000 6.9817
Pu Mg Ir
6 2 6
direct
0.1716 0.8284 0.0000 Pu
0.2424 0.7576 0.5000 Pu
0.3585 0.3585 0.8805 Pu
0.6415 0.6415 0.1195 Pu
0.7576 0.2424 0.5000 Pu
0.8284 0.1716 0.0000 Pu
0.2583 0.2583 0.3727 Mg
0.7417 0.7417 0.6273 Mg
0.0189 0.4967 0.2199 Ir
0.0717 0.0717 0.6950 Ir
0.4967 0.0189 0.2199 Ir
0.5033 0.9811 0.7801 Ir
0.9283 0.9283 0.3050 Ir
0.9811 0.5033 0.7801 Ir
```

(5)
Computed PXRD pattern
Compound: MgReIr2
Radiation: copper Kα
Structure: a crystal structure in Alexandria, relaxed with PBE

Peak list (6 most intense, 2θ = 10–90°, in order of rising 2θ)
2θ (°)  I_rel
11.60  49
39.78  100
45.54  35
47.69  14
68.06  20
80.25  27

Crystal structure
```
MgReIr2
1.0
2.8169 0.0000 0.0000
0.0000 2.8169 0.0000
0.0000 0.0000 7.6281
Mg Re Ir
1 1 2
direct
0.0000 0.0000 0.0000 Mg
0.0000 0.0000 0.5000 Re
0.5000 0.5000 0.2630 Ir
0.5000 0.5000 0.7370 Ir
```

(6)
Computed PXRD pattern
Compound: Mg3IrRh
Radiation: copper Kα
Structure: a crystal structure in Alexandria, relaxed with PBE

Peak list (6 most intense, 2θ = 10–90°, in order of rising 2θ)
2θ (°)  I_rel
26.17  100
37.35  38
46.18  44
53.86  26
60.84  19
73.61  22

Crystal structure
```
Mg3IrRh
1.0
4.8148 0.0000 0.0000
0.0000 4.8148 0.0000
0.0000 0.0000 4.8148
Mg Ir Rh
3 1 1
direct
0.0000 0.0000 0.5000 Mg
0.0000 0.5000 0.0000 Mg
0.5000 0.0000 0.0000 Mg
0.0000 0.0000 0.0000 Ir
0.5000 0.5000 0.5000 Rh
```

(7)
Computed PXRD pattern
Compound: MgIrRh2
Radiation: copper Kα
Structure: a crystal structure in Alexandria, relaxed with PBE

Peak list (6 most intense, 2θ = 10–90°, in order of rising 2θ)
2θ (°)  I_rel
15.99  80
28.33  31
40.00  100
40.17  98
46.19  66
68.41  40

Crystal structure
```
MgIrRh2
1.0
2.7880 0.0000 0.0000
0.0000 3.8291 0.0000
0.0000 0.0000 5.5415
Mg Ir Rh
1 1 2
direct
0.0000 0.0000 0.0000 Mg
0.0000 0.0000 0.5000 Ir
0.5000 0.5000 0.2588 Rh
0.5000 0.5000 0.7412 Rh
```

(8)
Computed PXRD pattern
Compound: Mg6IrRh5
Radiation: copper Kα
Structure: a crystal structure in Alexandria, relaxed with PBE

Peak list (6 most intense, 2θ = 10–90°, in order of rising 2θ)
2θ (°)  I_rel
28.61  66
40.89  100
40.98  20
59.23  20
74.40  20
74.59  20

Crystal structure
```
Mg6IrRh5
1.0
-2.2021 3.1193 6.6326
2.2021 -3.1193 6.6326
2.2021 3.1193 -6.6326
Mg Ir Rh
6 1 5
direct
0.0828 0.3332 0.7496 Mg
0.2490 0.0000 0.2490 Mg
0.4164 0.6668 0.7496 Mg
0.5836 0.3332 0.2504 Mg
0.7510 0.0000 0.7510 Mg
0.9172 0.6668 0.2504 Mg
0.5000 0.5000 0.0000 Ir
0.0000 0.5000 0.5000 Rh
0.1673 0.1673 0.0000 Rh
0.3342 0.8342 0.5000 Rh
0.6658 0.1658 0.5000 Rh
0.8327 0.8327 0.0000 Rh
```